Theoretical powder diffractogram of Na3Ca3Zr2Si4O15F3 for Cu Kα (weighted mean of Kα1 and Kα2), from a crystal structure in the Materials Project, relaxed with GGA-PBE.
No peak broadening, texture or thermal motion is included.

Main lines, in order of falling intensity (15° ≤ 2θ ≤ 90°):
2θ/deg, I/Imax, hkl
21.7, 1000, 1 1 -2
32.2, 616, 2 2 -2
27.6, 588, 0 3 0
21.3, 525, 0 2 1
32.9, 515, 2 -3 1
15.2, 458, 1 -1 1
46.7, 359, 1 1 -5
41.6, 326, 4 0 1
41.4, 311, -1 3 3
18.3, 310, 0 2 0

Structure:
```
Na3Ca3Zr2Si4O15F3
1.0
9.0698 0.0000 0.0000
-1.0756 9.7544 0.0000
-0.3691 -1.1143 9.8818
Na Ca Zr Si O F
6 6 4 8 30 6
direct
0.0559 0.1352 0.3981 Na
0.2938 0.7897 0.3711 Na
0.3489 0.4905 0.1924 Na
0.6511 0.5095 0.8076 Na
0.7062 0.2103 0.6289 Na
0.9441 0.8648 0.6019 Na
0.0892 0.6456 0.9630 Ca
0.3183 0.4148 0.5347 Ca
0.3515 0.9211 0.0368 Ca
0.6485 0.0789 0.9632 Ca
0.6817 0.5852 0.4653 Ca
0.9108 0.3544 0.0370 Ca
0.0471 0.5075 0.3288 Zr
0.1260 0.1391 0.0662 Zr
0.8740 0.8609 0.9338 Zr
0.9529 0.4925 0.6712 Zr
0.2534 0.3909 0.8576 Si
0.3316 0.9605 0.6566 Si
0.4114 0.2214 0.8401 Si
0.4415 0.1663 0.2914 Si
0.5585 0.8337 0.7086 Si
0.5886 0.7786 0.1599 Si
0.6684 0.0395 0.3434 Si
0.7466 0.6091 0.1424 Si
0.0107 0.7195 0.3978 O
0.0626 0.3669 0.5019 O
0.0640 0.2741 0.2092 O
0.0854 0.5357 0.1415 O
0.0986 0.9101 0.0104 O
0.1307 0.3013 0.9387 O
0.2012 0.4862 0.7448 O
0.2554 0.5561 0.3998 O
0.2816 0.0796 0.2295 O
0.3478 0.1285 0.6958 O
0.3559 0.1430 0.9725 O
0.4091 0.7519 0.1618 O
0.4308 0.9055 0.8078 O
0.4320 0.3283 0.3320 O
0.4645 0.8857 0.5737 O
0.5355 0.1143 0.4263 O
0.5680 0.6717 0.6680 O
0.5692 0.0945 0.1922 O
0.5909 0.2481 0.8382 O
0.6441 0.8570 0.0275 O
0.6522 0.8715 0.3042 O
0.7184 0.9204 0.7705 O
0.7446 0.4439 0.6002 O
0.7988 0.5138 0.2552 O
0.8693 0.6987 0.0613 O
0.9014 0.0899 0.9896 O
0.9146 0.4643 0.8585 O
0.9360 0.7259 0.7908 O
0.9374 0.6331 0.4981 O
0.9893 0.2805 0.6022 O
0.1763 0.8845 0.7096 F
0.2297 0.9749 0.5064 F
0.3379 0.5176 0.9714 F
0.6621 0.4824 0.0286 F
0.7703 0.0251 0.4936 F
0.8237 0.1155 0.2904 F
```